Starting from the GGA+U geometry in the Materials Project, the X-ray diffraction stick pattern of LiVFeP2H2O10 was calculated for λ = 1.5418 Å (Cu Kα).
Neutral-atom scattering factors, no anomalous dispersion.

Crystal structure
Lattice parameters (Å, degrees): 5.221 7.442 10.518 105.31 96.60 109.95
Atoms (fractional coordinates):
Li1 0.072 0.144 0.294
Li2 0.928 0.856 0.706
V1 0.000 0.500 0.000
V2 0.500 0.000 0.500
Fe1 0.000 0.000 0.000
Fe2 0.500 0.500 0.500
P1 0.001 0.455 0.678
P2 0.497 0.947 0.177
P3 0.503 0.053 0.823
P4 0.999 0.545 0.322
H1 0.179 0.183 0.532
H2 0.333 0.326 0.985
H3 0.667 0.674 0.015
H4 0.821 0.817 0.468
O1 0.105 0.480 0.828
O2 0.145 0.780 0.403
O3 0.156 0.299 0.016
O4 0.207 0.443 0.336
O5 0.246 0.948 0.875
O6 0.252 0.544 0.620
O7 0.277 0.040 0.169
O8 0.319 0.191 0.477
O9 0.373 0.717 0.096
O10 0.376 0.017 0.671
O11 0.624 0.983 0.329
O12 0.627 0.283 0.904
O13 0.681 0.809 0.523
O14 0.723 0.960 0.831
O15 0.748 0.456 0.380
O16 0.754 0.052 0.125
O17 0.793 0.557 0.664
O18 0.844 0.701 0.984
O19 0.855 0.220 0.597
O20 0.895 0.520 0.172

Most intense lines, 2θ from 10° to 90°, by angle:
Position (°2θ), d (Å), I/Imax, hkl
18.0, 4.941, 39, 0 0 2
18.2, 4.875, 34, 1 -1 0
18.7, 4.745, 47, 1 0 -1
26.1, 3.409, 53, 1 -2 1
26.9, 3.309, 100, 0 2 0
29.2, 3.054, 62, 1 0 -3
36.5, 2.465, 28, 1 0 3
55.5, 1.655, 29, 1 2 3


Starting from the GGA+U geometry in the Materials Project, the X-ray diffraction stick pattern of LiVFeP2H2O10 was calculated for λ = 1.5418 Å (Cu Kα).
Neutral-atom scattering factors, no anomalous dispersion.

Crystal structure
Lattice parameters (Å, degrees): 5.302 7.424 10.446 105.15 98.07 110.16
Atoms (fractional coordinates):
Li1 0.065 0.155 0.217
Li2 0.935 0.845 0.783
V1 0.000 0.500 0.000
V2 0.000 0.500 0.500
Fe1 0.499 0.993 0.253
Fe2 0.501 0.007 0.747
P1 0.369 0.224 0.023
P2 0.374 0.230 0.525
P3 0.626 0.770 0.475
P4 0.631 0.776 0.977
H1 0.192 0.656 0.255
H2 0.213 0.653 0.753
H3 0.787 0.347 0.247
H4 0.808 0.344 0.745
O1 0.170 0.717 0.685
O2 0.183 0.341 0.066
O3 0.183 0.713 0.179
O4 0.191 0.351 0.564
O5 0.278 0.107 0.869
O6 0.296 0.131 0.368
O7 0.312 0.618 0.422
O8 0.319 0.623 0.929
O9 0.326 0.078 0.107
O10 0.330 0.072 0.598
O11 0.670 0.928 0.402
O12 0.674 0.922 0.893
O13 0.681 0.377 0.071
O14 0.688 0.382 0.578
O15 0.704 0.869 0.632
O16 0.722 0.893 0.131
O17 0.809 0.649 0.436
O18 0.817 0.287 0.821
O19 0.817 0.659 0.934
O20 0.830 0.283 0.315

Most intense lines, 2θ from 10° to 90°, by angle:
Position (°2θ), d (Å), I/Imax, hkl
18.0, 4.934, 39, 1 -1 0
18.2, 4.876, 34, 0 0 2
18.7, 4.744, 47, 0 1 -2
25.6, 3.486, 26, -1 1 2
26.1, 3.409, 52, 0 1 2
27.0, 3.306, 100, 1 1 0
29.3, 3.051, 62, 1 -2 2
36.5, 2.463, 43, -2 1 2


Starting from the GGA+U geometry in the Materials Project, the X-ray diffraction stick pattern of LiVFeP2H2O10 was calculated for λ = 1.5418 Å (Cu Kα).
Neutral-atom scattering factors, no anomalous dispersion.

Crystal structure
Lattice parameters (Å, degrees): 5.210 7.364 14.506 91.92 94.15 105.45
Atoms (fractional coordinates):
Li1 0.000 0.000 0.000
Li2 0.149 0.594 0.291
Li3 0.482 0.928 0.625
V1 0.079 0.302 0.646
V2 0.403 0.623 0.979
V3 0.745 0.969 0.312
Fe1 0.074 0.296 0.146
Fe2 0.407 0.626 0.479
Fe3 0.740 0.963 0.812
P1 0.147 0.696 0.770
P2 0.335 0.229 0.855
P3 0.485 0.030 0.104
P4 0.664 0.563 0.187
P5 0.815 0.362 0.436
P6 0.999 0.902 0.521
H1 0.190 0.066 0.248
H2 0.309 0.884 0.382
H3 0.523 0.390 0.583
H4 0.642 0.218 0.716
H5 0.839 0.708 0.909
H6 0.958 0.528 0.044
O1 0.001 0.948 0.416
O2 0.011 0.510 0.711
O3 0.039 0.123 0.248
O4 0.053 0.145 0.886
O5 0.095 0.448 0.405
O6 0.110 0.470 0.043
O7 0.148 0.079 0.584
O8 0.154 0.649 0.875
O9 0.169 0.762 0.538
O10 0.312 0.168 0.087
O11 0.327 0.276 0.751
O12 0.341 0.852 0.041
O13 0.375 0.451 0.585
O14 0.375 0.485 0.214
O15 0.428 0.803 0.368
O16 0.429 0.781 0.739
O17 0.470 0.417 0.914
O18 0.483 0.979 0.208
O19 0.509 0.094 0.871
O20 0.644 0.500 0.422
O21 0.665 0.615 0.083
O22 0.678 0.176 0.377
O23 0.710 0.827 0.547
O24 0.721 0.789 0.923
O25 0.759 0.137 0.702
O26 0.774 0.108 0.078
O27 0.808 0.742 0.251
O28 0.824 0.313 0.541
O29 0.838 0.426 0.204
O30 0.974 0.832 0.755

Most intense lines, 2θ from 10° to 90°, by angle:
Position (°2θ), d (Å), I/Imax, hkl
18.0, 4.925, 52, 0 1 2
18.3, 4.857, 41, 1 0 -1
18.7, 4.733, 58, 1 -1 0
25.7, 3.466, 33, 1 1 1
26.4, 3.382, 65, 1 1 -2
27.1, 3.292, 100, 0 1 -4
29.3, 3.044, 80, -1 2 2
36.5, 2.459, 34, 1 1 4


Starting from the GGA+U geometry in the Materials Project, the X-ray diffraction stick pattern of LiVFeP2H2O10 was calculated for λ = 1.5418 Å (Cu Kα).
Neutral-atom scattering factors, no anomalous dispersion.

Crystal structure
Lattice parameters (Å, degrees): 6.905 7.484 11.119 80.71 72.56 89.42
Atoms (fractional coordinates):
Li1 0.000 0.000 0.000
Li2 0.167 0.958 0.348
Li3 0.502 0.624 0.681
V1 0.082 0.979 0.675
V2 0.422 0.647 0.008
V3 0.748 0.311 0.342
Fe1 0.251 0.313 0.841
Fe2 0.585 0.980 0.174
Fe3 0.920 0.639 0.507
P1 0.196 0.238 0.141
P2 0.305 0.387 0.541
P3 0.529 0.905 0.477
P4 0.638 0.054 0.872
P5 0.864 0.571 0.809
P6 0.972 0.719 0.206
H1 0.208 0.642 0.860
H2 0.294 0.982 0.823
H3 0.561 0.313 0.182
H4 0.608 0.645 0.167
H5 0.875 0.975 0.526
H6 0.942 0.309 0.500
O1 0.006 0.744 0.789
O2 0.023 0.223 0.271
O3 0.057 0.727 0.318
O4 0.110 0.232 0.029
O5 0.145 0.732 0.077
O6 0.169 0.211 0.563
O7 0.176 0.552 0.527
O8 0.178 0.056 0.813
O9 0.320 0.069 0.162
O10 0.324 0.568 0.868
O11 0.334 0.412 0.120
O12 0.358 0.892 0.607
O13 0.393 0.390 0.653
O14 0.439 0.915 0.365
O15 0.480 0.391 0.414
O16 0.495 0.882 0.892
O17 0.512 0.221 0.862
O18 0.515 0.730 0.138
O19 0.650 0.734 0.493
O20 0.653 0.227 0.211
O21 0.675 0.074 0.457
O22 0.689 0.566 0.936
O23 0.729 0.042 0.984
O24 0.773 0.586 0.697
O25 0.812 0.057 0.745
O26 0.833 0.547 0.228
O27 0.849 0.889 0.186
O28 0.851 0.396 0.470
O29 0.990 0.404 0.819
O30 0.992 0.901 0.535

Most intense lines, 2θ from 10° to 90°, by angle:
Position (°2θ), d (Å), I/Imax, hkl
18.0, 4.939, 39, 1 0 -1
18.2, 4.875, 34, 1 0 2
18.7, 4.744, 47, 1 -1 1
25.5, 3.487, 26, 0 0 3
26.2, 3.407, 52, 1 1 3
27.0, 3.305, 100, 1 2 1
29.3, 3.052, 63, 2 -1 0
36.4, 2.465, 28, 1 1 -3


Starting from the GGA+U geometry in the Materials Project, the X-ray diffraction stick pattern of LiVFeP2H2O10 was calculated for λ = 1.5418 Å (Cu Kα).
Neutral-atom scattering factors, no anomalous dispersion.

Crystal structure
Lattice parameters (Å, degrees): 5.209 7.421 10.249 103.50 100.10 105.18
Atoms (fractional coordinates):
Li1 0.148 0.374 0.219
Li2 0.852 0.626 0.781
V1 0.244 0.244 0.748
V2 0.756 0.756 0.252
Fe1 0.000 0.000 0.000
Fe2 0.500 0.500 0.500
P1 0.114 0.788 0.565
P2 0.389 0.705 0.936
P3 0.611 0.295 0.064
P4 0.886 0.212 0.435
H1 0.165 0.813 0.153
H2 0.353 0.706 0.356
H3 0.647 0.294 0.644
H4 0.835 0.187 0.847
O1 0.018 0.874 0.158
O2 0.053 0.784 0.408
O3 0.152 0.280 0.389
O4 0.204 0.498 0.842
O5 0.213 0.839 0.914
O6 0.282 0.003 0.654
O7 0.291 0.658 0.585
O8 0.338 0.234 0.104
O9 0.443 0.710 0.093
O10 0.465 0.619 0.335
O11 0.535 0.381 0.665
O12 0.557 0.290 0.907
O13 0.662 0.766 0.896
O14 0.709 0.342 0.415
O15 0.718 0.997 0.346
O16 0.787 0.161 0.086
O17 0.796 0.502 0.158
O18 0.848 0.720 0.611
O19 0.947 0.216 0.592
O20 0.982 0.126 0.842

Most intense lines, 2θ from 10° to 90°, by angle:
Position (°2θ), d (Å), I/Imax, hkl
18.0, 4.938, 39, 0 1 1
18.2, 4.865, 33, 1 0 -1
18.7, 4.736, 47, 1 -1 0
26.2, 3.404, 52, 1 1 -2
26.9, 3.308, 100, 0 1 -3
29.3, 3.051, 62, -1 2 1
36.5, 2.463, 28, 1 1 2
55.5, 1.655, 29, 1 0 5